The following is a calculated powder X-ray diffraction pattern of Rb3TbMgV2O8. It was derived from a GGA+U-relaxed structure, using λ = 1.5418 Å (Cu Kα).
Kinematic intensities with the Lorentz-polarization factor, no thermal factor.

Peak list (8 most intense, 10° ≤ 2θ ≤ 90°, in order of rising 2θ)
2theta  intensity  h k l
25.57  100  1 0 -2
26.13  71  1 1 2
26.61  43  1 0 2
27.23  77  0 1 -2
27.58  59  1 -1 0
30.61  62  1 2 0
31.74  68  2 1 0
40.67  29  0 2 -2

Structure:
Lattice parameters (Å, degrees): 5.6735 5.9570 9.0550 83.04 89.49 68.02
Space group P1 (No. 1)
Asymmetric unit:
Rb  0.0000  0.0000  0.0000
Rb  0.2878  0.4357  0.5932
Rb  0.6647  0.6720  0.8138
Tb  0.5426  0.8145  0.3419
Mg  0.6932  0.2979  0.2632
V  0.2319  0.4238  0.0930
V  0.9479  0.1002  0.5439
O  0.2470  0.5163  0.9044
O  0.2938  0.9580  0.5266
O  0.3666  0.5957  0.2154
O  0.5005  0.1209  0.1553
O  0.7733  0.4310  0.4555
O  0.8185  0.0886  0.7173
O  0.8238  0.9744  0.3994
O  0.9263  0.4177  0.1386